# 1
# Mn2V3NiP6O24
Computed powder X-ray diffraction pattern, Cu Kα, 1.54184 Å. Input: DFT lattice parameters and positions (PBE+U).
Peak positions follow from Bragg's law for the DFT cell and can differ from measured ones.

Structure:
```
Mn2V3NiP6O24
1.0
4.3114 2.4892 7.0057
-4.3114 2.4892 7.0057
0.0000 -4.9784 7.0057
Mn V Ni P O
2 3 1 6 24
direct
0.0000 0.0000 0.0000
0.4970 0.4970 0.4970
0.1462 0.1462 0.1462
0.6436 0.6436 0.6436
0.8559 0.8559 0.8559
0.3574 0.3574 0.3574
0.0414 0.7521 0.4591
0.2525 0.5437 0.9599
0.4591 0.0414 0.7521
0.5437 0.9599 0.2525
0.7521 0.4591 0.0414
0.9599 0.2525 0.5437
0.0534 0.9204 0.2660
0.0855 0.7382 0.9320
0.1147 0.3049 0.5172
0.1952 0.3791 0.9962
0.2326 0.5931 0.4486
0.2660 0.0534 0.9204
0.3049 0.5172 0.1147
0.3791 0.9962 0.1952
0.4156 0.5600 0.7617
0.4486 0.2326 0.5931
0.4974 0.8782 0.6939
0.5172 0.1147 0.3049
0.5600 0.7617 0.4156
0.5931 0.4486 0.2326
0.6178 0.9935 0.8210
0.6939 0.4974 0.8782
0.7382 0.9320 0.0855
0.7617 0.4156 0.5600
0.8210 0.6178 0.9935
0.8782 0.6939 0.4974
0.9204 0.2660 0.0534
0.9320 0.0855 0.7382
0.9935 0.8210 0.6178
0.9962 0.1952 0.3791
```

Main lines, by intensity (2θ from 10° to 90°):
d = 3.672 Å, 2θ = 24.24°, intensity 100
d = 4.310 Å, 2θ = 20.61°, intensity 86
d = 2.719 Å, 2θ = 32.94°, intensity 73
d = 2.489 Å, 2θ = 36.09°, intensity 35
d = 1.923 Å, 2θ = 47.27°, intensity 28
d = 1.836 Å, 2θ = 49.65°, intensity 27
d = 1.629 Å, 2θ = 56.47°, intensity 24
d = 1.478 Å, 2θ = 62.90°, intensity 17
d = 2.797 Å, 2θ = 31.99°, intensity 16
d = 3.518 Å, 2θ = 25.31°, intensity 15

=====

# 2
# MgUMo4O16
Computed powder X-ray diffraction pattern, Cu Kα, 1.54184 Å. Input: DFT lattice parameters and positions (PBE+U).
Peak positions follow from Bragg's law for the DFT cell and can differ from measured ones.

Structure:
```
MgUMo4O16
1.0
7.9808 0.0000 0.0000
0.0000 6.6274 0.0000
-7.9111 0.0000 11.6071
Mg U Mo O
2 2 8 32
direct
0.0000 0.2023 0.2500
0.0000 0.7977 0.7500
0.5000 0.2047 0.2500
0.5000 0.7953 0.7500
0.1875 0.3220 0.9014
0.1875 0.6780 0.4014
0.3030 0.3286 0.5891
0.3030 0.6714 0.0891
0.6970 0.3286 0.9109
0.6970 0.6714 0.4109
0.8125 0.3220 0.5986
0.8125 0.6780 0.0986
0.0000 0.4427 0.7500
0.0000 0.5573 0.2500
0.0895 0.3432 0.5964
0.0895 0.6568 0.0964
0.1308 0.0667 0.8679
0.1308 0.9333 0.3679
0.1829 0.3424 0.4324
0.1829 0.6576 0.9324
0.2691 0.2023 0.2516
0.2691 0.7977 0.7516
0.3132 0.3467 0.0659
0.3132 0.6533 0.5659
0.3754 0.0700 0.6277
0.3754 0.9300 0.1277
0.4130 0.3480 0.9041
0.4130 0.6520 0.4041
0.5000 0.4415 0.7500
0.5000 0.5585 0.2500
0.5870 0.3480 0.5959
0.5870 0.6520 0.0959
0.6246 0.0700 0.8723
0.6246 0.9300 0.3723
0.6868 0.3467 0.4341
0.6868 0.6533 0.9341
0.7309 0.2023 0.2484
0.7309 0.7977 0.7484
0.8171 0.3424 0.0676
0.8171 0.6576 0.5676
0.8692 0.0667 0.6321
0.8692 0.9333 0.1321
0.9105 0.3432 0.9036
0.9105 0.6568 0.4036
```

Main lines, by intensity (2θ from 10° to 90°):
d = 3.341 Å, 2θ = 26.68°, intensity 100
d = 3.990 Å, 2θ = 22.28°, intensity 92
d = 6.608 Å, 2θ = 13.40°, intensity 37
d = 3.830 Å, 2θ = 23.22°, intensity 32
d = 2.553 Å, 2θ = 35.15°, intensity 32
d = 5.099 Å, 2θ = 17.39°, intensity 27
d = 2.568 Å, 2θ = 34.93°, intensity 25
d = 3.314 Å, 2θ = 26.91°, intensity 25
d = 3.186 Å, 2θ = 28.00°, intensity 24
d = 6.558 Å, 2θ = 13.50°, intensity 22

=====

# 3
# NiSO11
Computed powder X-ray diffraction pattern, Cu Kα, 1.54184 Å. Input: DFT lattice parameters and positions (PBE+U).
Peak positions follow from Bragg's law for the DFT cell and can differ from measured ones.

Structure:
```
NiSO11
1.0
6.5841 0.0000 0.0000
0.0000 11.1423 0.0000
0.0000 0.0000 12.4694
Ni S O
4 4 44
direct
0.1791 0.1167 0.2892
0.3209 0.8833 0.7892
0.6791 0.3833 0.7108
0.8209 0.6167 0.2108
0.2470 0.5758 0.4723
0.2530 0.4242 0.9723
0.7470 0.9242 0.5277
0.7530 0.0758 0.0277
0.0070 0.6953 0.0839
0.0194 0.8572 0.8104
0.0298 0.2390 0.6708
0.0402 0.4373 0.9362
0.0852 0.9796 0.2745
0.1236 0.1864 0.7459
0.1252 0.4717 0.4324
0.1286 0.1288 0.4572
0.1672 0.6918 0.4322
0.1700 0.1923 0.1756
0.2269 0.5651 0.5914
0.2731 0.4349 0.0914
0.3300 0.8077 0.6756
0.3328 0.3082 0.9322
0.3714 0.8712 0.9572
0.3748 0.5283 0.9324
0.3764 0.8136 0.2459
0.4148 0.0204 0.7744
0.4598 0.5627 0.4362
0.4702 0.7610 0.1708
0.4806 0.1428 0.3104
0.4930 0.3047 0.5839
0.5070 0.8047 0.9161
0.5194 0.6428 0.1896
0.5298 0.2610 0.3292
0.5402 0.0627 0.0638
0.5852 0.5204 0.7256
0.6236 0.3136 0.2541
0.6252 0.0283 0.5676
0.6286 0.3712 0.5428
0.6672 0.8082 0.5678
0.6700 0.3077 0.8244
0.7269 0.9349 0.4086
0.7731 0.0651 0.9086
0.8300 0.6923 0.3244
0.8328 0.1918 0.0678
0.8714 0.6288 0.0428
0.8748 0.9717 0.0676
0.8764 0.6864 0.7541
0.9148 0.4796 0.2256
0.9598 0.9373 0.5638
0.9702 0.7390 0.8292
0.9806 0.3572 0.6896
0.9930 0.1953 0.4161
```

Main lines, by intensity (2θ from 10° to 90°):
d = 4.194 Å, 2θ = 21.18°, intensity 100
d = 5.087 Å, 2θ = 17.43°, intensity 59
d = 4.025 Å, 2θ = 22.08°, intensity 52
d = 5.160 Å, 2θ = 17.18°, intensity 23
d = 3.061 Å, 2θ = 29.18°, intensity 19
d = 3.002 Å, 2θ = 29.76°, intensity 15
d = 3.131 Å, 2θ = 28.51°, intensity 15
d = 3.235 Å, 2θ = 27.57°, intensity 14
d = 3.894 Å, 2θ = 22.84°, intensity 12
d = 1.982 Å, 2θ = 45.79°, intensity 11

=====

# 4
# Na3Mn2P2C2O14
Computed powder X-ray diffraction pattern, Cu Kα, 1.54184 Å. Input: DFT lattice parameters and positions (PBE+U).
Peak positions follow from Bragg's law for the DFT cell and can differ from measured ones.

Structure:
```
Na3Mn2P2C2O14
1.0
8.9943 0.0000 0.0000
0.0000 6.5799 0.0000
-0.2819 0.0000 10.3993
Na Mn P C O
6 4 4 4 28
direct
0.2393 0.0000 0.1288
0.2417 0.5186 0.1271
0.2417 0.9808 0.6287
0.7583 0.0186 0.8729
0.7583 0.4808 0.3713
0.7607 0.5000 0.8712
0.3456 0.2666 0.8539
0.3483 0.2614 0.3613
0.6517 0.7614 0.6387
0.6544 0.7666 0.1461
0.4255 0.7612 0.8961
0.4282 0.7583 0.3901
0.5718 0.2583 0.6099
0.5745 0.2612 0.1039
0.0769 0.2563 0.8839
0.0784 0.2532 0.3848
0.9216 0.7532 0.6152
0.9231 0.7563 0.1161
0.0580 0.7523 0.6043
0.0602 0.7565 0.1013
0.1414 0.2535 0.7728
0.1468 0.2604 0.2727
0.1760 0.2602 0.9809
0.1768 0.2479 0.4811
0.3277 0.5737 0.8694
0.3294 0.9488 0.8611
0.3305 0.5723 0.3536
0.3325 0.9463 0.3532
0.4232 0.2518 0.6813
0.4266 0.2583 0.1776
0.4642 0.7667 0.0451
0.4668 0.7646 0.5371
0.5332 0.2646 0.4629
0.5358 0.2667 0.9549
0.5734 0.7583 0.8224
0.5768 0.7518 0.3187
0.6675 0.4463 0.6468
0.6695 0.0723 0.6464
0.6706 0.4488 0.1389
0.6723 0.0737 0.1306
0.8232 0.7479 0.5189
0.8240 0.7602 0.0191
0.8532 0.7604 0.7273
0.8586 0.7535 0.2272
0.9398 0.2565 0.8987
0.9420 0.2523 0.3957
```

Main lines, by intensity (2θ from 10° to 90°):
d = 5.310 Å, 2θ = 16.70°, intensity 100
d = 3.290 Å, 2θ = 27.10°, intensity 91
d = 3.447 Å, 2θ = 25.85°, intensity 74
d = 2.600 Å, 2θ = 34.50°, intensity 55
d = 4.080 Å, 2θ = 21.78°, intensity 49
d = 3.686 Å, 2θ = 24.15°, intensity 49
d = 2.655 Å, 2θ = 33.76°, intensity 38
d = 2.667 Å, 2θ = 33.60°, intensity 37
d = 4.449 Å, 2θ = 19.96°, intensity 36
d = 4.555 Å, 2θ = 19.49°, intensity 34